[1]
Starting from a cell relaxed with GGA-PBE, the PXRD pattern of LaCe3Pt3 was simulated for Cu Kα (λ = 1.5418 Å).
No peak broadening, texture or thermal motion is included.

Structure:
```
data_LaCe3Pt3
_chemical_formula_sum 'La4 Ce12 Pt12'
_cell_length_a 12.420
_cell_length_b 4.105
_cell_length_c 14.403
_cell_angle_alpha 90.00
_cell_angle_beta 90.00
_cell_angle_gamma 90.00
_space_group_name_H-M_alt 'P n m a'
_space_group_IT_number 62
loop_
_space_group_symop_operation_xyz
'x,y,z'
'-x,-y,-z'
'-x+1/2,-y,z+1/2'
'x+1/2,y,-z+1/2'
'x+1/2,-y+1/2,-z+1/2'
'-x+1/2,y+1/2,z+1/2'
'-x,y+1/2,-z'
'x,-y+1/2,z'
loop_
_atom_site_label
_atom_site_fract_x
_atom_site_fract_y
_atom_site_fract_z
La1 0.013 0.250 0.187
Ce1 0.050 0.250 0.601
Ce2 0.192 0.750 0.030
Ce3 0.245 0.750 0.308
Pt1 0.064 0.250 0.944
Pt2 0.115 0.250 0.401
Pt3 0.210 0.750 0.670
```

Top 10 peaks for 10 to 80 degrees two-theta, in order of rising 2θ:
2θ (°)  I (rel.)  hkl
28.47  34  3 0 3
29.52  64  1 1 3
31.89  29  1 0 5
33.16  57  3 1 2
33.89  38  1 1 4
36.05  67  3 1 3
36.26  100  4 1 0
38.17  30  0 1 5
38.88  29  1 1 5
44.14  67  0 2 0



[2]
Starting from a cell relaxed with GGA-PBE, the PXRD pattern of Zn2Pd6Au was simulated for Cu Kα (λ = 1.5418 Å).
No peak broadening, texture or thermal motion is included.

Structure:
```
data_Zn2Pd6Au
_chemical_formula_sum 'Zn4 Pd12 Au2'
_cell_length_a 8.261
_cell_length_b 8.261
_cell_length_c 4.044
_cell_angle_alpha 90.00
_cell_angle_beta 90.00
_cell_angle_gamma 90.00
_space_group_name_H-M_alt 'P 42/m n m'
_space_group_IT_number 136
_space_group_name_Hall '-P 4n 2n'
loop_
_atom_site_label
_atom_site_fract_x
_atom_site_fract_y
_atom_site_fract_z
Zn1 0.176 0.176 0.000
Pd1 0.003 0.333 0.500
Pd2 0.162 0.838 0.000
Au1 0.000 0.000 0.500
```

Top 10 peaks for 10 to 80 degrees two-theta, in order of rising 2θ:
2θ (°)  I (rel.)  hkl
21.51  4  2 0 0
24.51  6  1 0 1
34.33  3  3 1 0
39.60  100  3 0 1
44.83  18  0 0 2
45.50  2  3 2 1
46.64  31  3 3 0
66.69  21  3 3 2
68.10  10  6 0 0
79.11  13  3 0 3



[3]
Starting from a cell relaxed with GGA-PBE, the PXRD pattern of La3PaRh3 was simulated for Cu Kα (λ = 1.5418 Å).
No peak broadening, texture or thermal motion is included.

Structure:
```
data_La3PaRh3
_chemical_formula_sum 'La12 Pa4 Rh12'
_cell_length_a 12.935
_cell_length_b 4.126
_cell_length_c 14.312
_cell_angle_alpha 90.00
_cell_angle_beta 90.00
_cell_angle_gamma 90.00
_space_group_name_H-M_alt 'P n m a'
_space_group_IT_number 62
loop_
_space_group_symop_operation_xyz
'x,y,z'
'-x,-y,-z'
'-x+1/2,-y,z+1/2'
'x+1/2,y,-z+1/2'
'x+1/2,-y+1/2,-z+1/2'
'-x+1/2,y+1/2,z+1/2'
'-x,y+1/2,-z'
'x,-y+1/2,z'
loop_
_atom_site_label
_atom_site_fract_x
_atom_site_fract_y
_atom_site_fract_z
La1 0.088 0.250 0.091
La2 0.141 0.750 0.515
La3 0.230 0.750 0.807
Pa1 0.028 0.250 0.708
Rh1 0.057 0.250 0.380
Rh2 0.076 0.250 0.880
Rh3 0.221 0.250 0.651
```

Top 10 peaks for 10 to 80 degrees two-theta, in order of rising 2θ:
2θ (°)  I (rel.)  hkl
26.37  50  2 1 1
28.57  44  0 1 3
29.44  100  1 1 3
30.33  76  4 0 2
30.63  54  3 1 1
31.84  71  2 1 3
32.02  54  1 0 5
35.26  81  4 1 0
36.01  68  2 1 4
43.88  71  0 2 0



[4]
Starting from a cell relaxed with GGA-PBE, the PXRD pattern of Ac4TmTl5 was simulated for Cu Kα (λ = 1.5418 Å).
No peak broadening, texture or thermal motion is included.

Structure:
```
data_Ac4TmTl5
_chemical_formula_sum 'Ac4 Tm1 Tl5'
_cell_length_a 3.956
_cell_length_b 3.956
_cell_length_c 21.342
_cell_angle_alpha 90.00
_cell_angle_beta 90.00
_cell_angle_gamma 90.00
_space_group_name_H-M_alt 'P 4/m m m'
_space_group_IT_number 123
_space_group_name_Hall '-P 4 2'
loop_
_atom_site_label
_atom_site_fract_x
_atom_site_fract_y
_atom_site_fract_z
Ac1 0.000 0.000 0.105
Ac2 0.000 0.000 0.314
Tm1 0.000 0.000 0.500
Tl1 0.500 0.500 0.000
Tl2 0.500 0.500 0.211
Tl3 0.500 0.500 0.420
```

Top 10 peaks for 10 to 80 degrees two-theta, in order of rising 2θ:
2θ (°)  I (rel.)  hkl
28.08  8  1 0 4
30.82  100  1 0 5
32.00  53  1 1 0
45.88  20  2 0 0
50.45  8  1 1 9
54.05  13  1 1 10
56.29  38  2 1 5
64.20  8  2 0 10
75.45  8  3 0 5
76.09  9  3 1 0



[5]
Starting from a cell relaxed with GGA-PBE, the PXRD pattern of RbCu2PtF8 was simulated for Cu Kα (λ = 1.5418 Å).
No peak broadening, texture or thermal motion is included.

Structure:
```
data_RbCu2PtF8
_chemical_formula_sum 'Rb3 Cu6 Pt3 F24'
_cell_length_a 5.7290
_cell_length_b 5.7290
_cell_length_c 25.2651
_cell_angle_alpha 90.00
_cell_angle_beta 90.00
_cell_angle_gamma 120.00
_space_group_name_H-M_alt 'R -3 m'
_space_group_IT_number 166
_space_group_name_Hall '-R 3 2"'
loop_
_atom_site_label
_atom_site_fract_x
_atom_site_fract_y
_atom_site_fract_z
Rb1 0.0000 0.0000 0.0000
Cu1 0.0000 0.0000 0.2523
Pt1 0.0000 0.0000 0.5000
F1 0.0000 0.0000 0.3245
F2 0.0146 0.5073 0.1178
```

Top 10 peaks for 10 to 80 degrees two-theta, in order of rising 2θ:
2θ (°)  I (rel.)  hkl
10.50  16  0 0 3
18.22  22  1 0 1
22.79  100  1 0 4
31.22  40  1 1 0
33.64  22  0 1 8
39.01  11  0 2 4
46.55  18  2 0 8
50.79  23  2 1 4
54.06  22  1 1 12
57.12  10  1 2 8



[6]
Starting from a cell relaxed with GGA-PBE, the PXRD pattern of AgSnTe4Au2 was simulated for Cu Kα (λ = 1.5418 Å).
No peak broadening, texture or thermal motion is included.

Structure:
```
data_AgSnTe4Au2
_chemical_formula_sum 'Ag2 Sn2 Te8 Au4'
_cell_length_a 6.397
_cell_length_b 6.397
_cell_length_c 12.908
_cell_angle_alpha 90.00
_cell_angle_beta 90.00
_cell_angle_gamma 90.00
_space_group_name_H-M_alt 'I -4 2 m'
_space_group_IT_number 121
_space_group_name_Hall 'I -4 2'
loop_
_atom_site_label
_atom_site_fract_x
_atom_site_fract_y
_atom_site_fract_z
Ag1 0.000 0.000 0.000
Sn1 0.000 0.000 0.500
Te1 0.245 0.245 0.131
Au1 0.000 0.500 0.250
```

Top 10 peaks for 10 to 80 degrees two-theta, in order of rising 2θ:
2θ (°)  I (rel.)  hkl
24.02  100  1 1 2
39.68  53  2 0 4
39.86  26  2 2 0
46.76  17  1 1 6
47.08  33  3 1 2
57.64  9  4 0 0
63.08  14  3 1 6
71.88  9  2 2 8
72.24  18  4 2 4
77.51  8  5 1 2



[7]
Starting from a cell relaxed with GGA-PBE, the PXRD pattern of Li6Ag8Au was simulated for Cu Kα (λ = 1.5418 Å).
No peak broadening, texture or thermal motion is included.

Structure:
```
data_Li6Ag8Au
_chemical_formula_sum 'Li18 Ag24 Au3'
_cell_length_a 7.5019
_cell_length_b 7.5019
_cell_length_c 16.1839
_cell_angle_alpha 90.00
_cell_angle_beta 90.00
_cell_angle_gamma 120.00
_space_group_name_H-M_alt 'R -3'
_space_group_IT_number 148
_space_group_name_Hall '-R 3'
loop_
_atom_site_label
_atom_site_fract_x
_atom_site_fract_y
_atom_site_fract_z
Li1 0.0032 0.6763 0.0549
Ag1 0.0000 0.0000 0.3299
Ag2 0.0019 0.6597 0.8858
Au1 0.0000 0.0000 0.0000
```

Top 10 peaks for 10 to 80 degrees two-theta, in order of rising 2θ:
2θ (°)  I (rel.)  hkl
28.99  100  2 -1 3
41.22  42  1 1 6
41.71  40  3 0 0
50.77  7  0 0 9
51.59  19  2 2 3
60.09  13  4 -2 6
67.73  16  3 0 9
68.42  16  5 -1 3
74.81  7  2 -1 12
75.80  13  4 1 6



[8]
Starting from a cell relaxed with GGA-PBE, the PXRD pattern of Ag4Pt5 was simulated for Cu Kα (λ = 1.5418 Å).
No peak broadening, texture or thermal motion is included.

Structure:
```
data_Ag4Pt5
_chemical_formula_sum 'Ag8 Pt10'
_cell_length_a 8.992
_cell_length_b 4.092
_cell_length_c 8.481
_cell_angle_alpha 90.00
_cell_angle_beta 108.23
_cell_angle_gamma 90.00
_space_group_name_H-M_alt 'C 1 2/m 1'
_space_group_IT_number 12
loop_
_space_group_symop_operation_xyz
'x,y,z'
'-x,-y,-z'
'-x,y,-z'
'x,-y,z'
'x+1/2,y+1/2,z'
'-x+1/2,-y+1/2,-z'
'-x+1/2,y+1/2,-z'
'x+1/2,-y+1/2,z'
loop_
_atom_site_label
_atom_site_fract_x
_atom_site_fract_y
_atom_site_fract_z
Ag1 0.168 0.000 0.056
Ag2 0.171 0.000 0.389
Pt1 0.000 0.500 0.500
Pt2 0.006 0.500 0.172
Pt3 0.157 0.000 0.720
```

Top 10 peaks for 10 to 80 degrees two-theta, in order of rising 2θ:
2θ (°)  I (rel.)  hkl
38.52  100  3 1 0
38.71  100  1 1 -3
44.27  35  0 2 0
45.20  63  2 0 3
65.12  42  2 2 3
77.61  13  3 3 0
77.73  13  1 3 -3
78.78  12  5 1 3
79.14  12  1 1 6
79.25  12  5 1 -6